Diffraction record for LaCe3B24. The powder diffraction line list is calculated, not measured: it uses DFT lattice parameters and positions (GGA-PBE) and copper Kα.
Intensities are scaled so that the largest is 100.

Cell: 4.1268 5.8329 11.6744 Å, 90.00 90.00 90.00°
Space group Pmmm (No. 47)
Asymmetric unit:
La (0.0000, 0.0000, 0.0000)
Ce (0.0000, 0.0000, 0.5000)
Ce (0.0000, 0.5000, 0.2530)
B (0.1989, 0.0000, 0.2509)
B (0.1993, 0.5000, 0.0000)
B (0.1985, 0.5000, 0.5000)
B (0.5000, 0.1511, 0.1756)
B (0.5000, 0.1507, 0.3258)
B (0.5000, 0.3493, 0.4248)
B (0.5000, 0.3499, 0.0756)

Largest 6 diffraction maxima, in order of falling intensity, 2θ = 10–90°:
| (hkl) | d (Å) | two_theta | I/Imax |
| --- | --- | --- | --- |
| 1 1 2 | 2.918 | 30.64 | 100 |
| 1 0 0 | 4.126 | 21.54 | 64 |
| 2 1 2 | 1.845 | 49.39 | 49 |
| 1 2 0 | 2.382 | 37.76 | 42 |
| 2 3 2 | 1.375 | 68.18 | 28 |
| 2 2 0 | 1.685 | 54.47 | 27 |